Entry 1:
Starting from DFT lattice parameters and positions (GGA+U), the powder diffractogram of Ca3MnO4 was calculated for Cu Kα (weighted mean of Kα1 and Kα2).

Principal peaks in the range 10° ≤ 2θ ≤ 90°, by intensity:
2θ = 37.85°, I = 100; 2θ = 54.61°, I = 39; 2θ = 32.57°, I = 22; 2θ = 32.68°, I = 22; 2θ = 54.43°, I = 10; 2θ = 54.74°, I = 10; 2θ = 68.22°, I = 9; 2θ = 68.48°, I = 9; 2θ = 80.87°, I = 8; 2θ = 64.95°, I = 6

Cell and atoms:
Cell lengths 5.817, 5.817, 3.371 Å; angles 90.00, 90.00, 109.57 degrees
Element x y z (fractional)
Ca (0.000, 0.000, 0.000)
Ca (0.000, 0.500, 0.500)
Ca (0.500, 0.000, 0.500)
Mn (0.500, 0.500, 0.000)
O (0.253, 0.747, 0.000)
O (0.257, 0.257, 0.500)
O (0.743, 0.743, 0.500)
O (0.747, 0.253, 0.000)

Entry 2:
Starting from DFT lattice parameters and positions (GGA+U), the powder diffractogram of CaMn4O8 was calculated for Cu Kα (weighted mean of Kα1 and Kα2).

Principal peaks in the range 10° ≤ 2θ ≤ 90°, by intensity:
2θ = 35.25°, I = 100; 2θ = 12.57°, I = 82; 2θ = 35.77°, I = 72; 2θ = 29.11°, I = 64; 2θ = 34.72°, I = 60; 2θ = 17.16°, I = 59; 2θ = 18.46°, I = 58; 2θ = 48.98°, I = 43; 2θ = 29.26°, I = 40; 2θ = 46.97°, I = 37

Cell and atoms:
Cell lengths 9.614, 6.143, 14.060 Å; angles 90.00, 132.69, 90.00 degrees
Element x y z (fractional)
Ca (0.114, 0.133, 0.358)
Ca (0.114, 0.367, 0.858)
Ca (0.886, 0.633, 0.142)
Ca (0.886, 0.867, 0.642)
Mn (0.184, 0.117, 0.599)
Mn (0.184, 0.383, 0.099)
Mn (0.185, 0.623, 0.588)
Mn (0.185, 0.877, 0.088)
Mn (0.466, 0.630, 0.392)
Mn (0.466, 0.870, 0.892)
Mn (0.480, 0.131, 0.398)
Mn (0.480, 0.369, 0.898)
Mn (0.520, 0.631, 0.102)
Mn (0.520, 0.869, 0.602)
Mn (0.534, 0.130, 0.108)
Mn (0.534, 0.370, 0.608)
Mn (0.815, 0.123, 0.912)
Mn (0.815, 0.377, 0.412)
Mn (0.816, 0.617, 0.901)
Mn (0.816, 0.883, 0.401)
O (0.062, 0.604, 0.955)
O (0.062, 0.896, 0.455)
O (0.067, 0.140, 0.966)
O (0.067, 0.360, 0.466)
O (0.264, 0.628, 0.209)
O (0.264, 0.872, 0.709)
O (0.275, 0.142, 0.216)
O (0.275, 0.358, 0.716)
O (0.346, 0.606, 0.907)
O (0.346, 0.894, 0.407)
O (0.356, 0.145, 0.918)
O (0.356, 0.355, 0.418)
O (0.386, 0.110, 0.598)
O (0.386, 0.390, 0.098)
O (0.395, 0.624, 0.600)
O (0.395, 0.876, 0.100)
O (0.605, 0.124, 0.900)
O (0.605, 0.376, 0.400)
O (0.614, 0.610, 0.902)
O (0.614, 0.890, 0.402)
O (0.644, 0.645, 0.582)
O (0.644, 0.855, 0.082)
O (0.654, 0.106, 0.593)
O (0.654, 0.394, 0.093)
O (0.725, 0.642, 0.284)
O (0.725, 0.858, 0.784)
O (0.736, 0.128, 0.291)
O (0.736, 0.372, 0.791)
O (0.933, 0.640, 0.534)
O (0.933, 0.860, 0.034)
O (0.938, 0.104, 0.545)
O (0.938, 0.396, 0.045)

Entry 3:
Starting from DFT lattice parameters and positions (GGA+U), the powder diffractogram of CaMn4O8 was calculated for Cu Kα (weighted mean of Kα1 and Kα2).

Principal peaks in the range 10° ≤ 2θ ≤ 90°, by intensity:
2θ = 15.74°, I = 100; 2θ = 40.83°, I = 58; 2θ = 35.00°, I = 18; 2θ = 51.74°, I = 16; 2θ = 61.96°, I = 15; 2θ = 56.17°, I = 15; 2θ = 36.23°, I = 12; 2θ = 17.89°, I = 12; 2θ = 71.35°, I = 11; 2θ = 64.37°, I = 10

Cell and atoms:
Cell lengths 6.608, 6.608, 6.608 Å; angles 53.91, 53.91, 53.91 degrees
Element x y z (fractional)
Ca (0.000, 0.000, 0.000)
Mn (0.000, 0.000, 0.500)
Mn (0.000, 0.500, 0.000)
Mn (0.500, 0.000, 0.000)
Mn (0.500, 0.500, 0.500)
O (0.199, 0.741, 0.741)
O (0.225, 0.225, 0.225)
O (0.259, 0.259, 0.801)
O (0.259, 0.801, 0.259)
O (0.741, 0.199, 0.741)
O (0.741, 0.741, 0.199)
O (0.775, 0.775, 0.775)
O (0.801, 0.259, 0.259)

Entry 4:
Starting from DFT lattice parameters and positions (GGA+U), the powder diffractogram of Ca5MnO6 was calculated for Cu Kα (weighted mean of Kα1 and Kα2).

Principal peaks in the range 10° ≤ 2θ ≤ 90°, by intensity:
2θ = 37.67°, I = 100; 2θ = 54.31°, I = 49; 2θ = 32.47°, I = 42; 2θ = 64.69°, I = 10; 2θ = 54.45°, I = 10; 2θ = 67.91°, I = 9; 2θ = 68.08°, I = 9; 2θ = 80.43°, I = 8; 2θ = 64.81°, I = 7; 2θ = 89.41°, I = 3

Cell and atoms:
Cell lengths 8.917, 8.917, 5.851 Å; angles 109.04, 109.04, 21.86 degrees
Element x y z (fractional)
Ca (0.000, 0.000, 0.000)
Ca (0.165, 0.165, 0.830)
Ca (0.335, 0.335, 0.666)
Ca (0.665, 0.665, 0.334)
Ca (0.835, 0.835, 0.170)
Mn (0.500, 0.500, 0.500)
O (0.080, 0.080, 0.419)
O (0.249, 0.249, 0.252)
O (0.418, 0.418, 0.089)
O (0.582, 0.582, 0.911)
O (0.751, 0.751, 0.748)
O (0.920, 0.920, 0.581)

Entry 5:
Starting from DFT lattice parameters and positions (GGA+U), the powder diffractogram of CaMn2O4 was calculated for Cu Kα (weighted mean of Kα1 and Kα2).

Principal peaks in the range 10° ≤ 2θ ≤ 90°, by intensity:
2θ = 34.99°, I = 100; 2θ = 30.02°, I = 67; 2θ = 17.27°, I = 52; 2θ = 56.58°, I = 32; 2θ = 56.79°, I = 31; 2θ = 46.56°, I = 30; 2θ = 56.63°, I = 29; 2θ = 34.74°, I = 28; 2θ = 43.24°, I = 28; 2θ = 27.43°, I = 25

Cell and atoms:
Cell lengths 6.649, 6.646, 5.918 Å; angles 63.59, 63.54, 52.86 degrees
Element x y z (fractional)
Ca (0.125, 0.125, 0.125)
Ca (0.875, 0.875, 0.875)
Mn (0.000, 0.500, 0.500)
Mn (0.500, 0.000, 0.500)
Mn (0.500, 0.500, 0.000)
Mn (0.500, 0.500, 0.500)
O (0.265, 0.265, 0.269)
O (0.265, 0.265, 0.701)
O (0.269, 0.701, 0.265)
O (0.299, 0.731, 0.735)
O (0.701, 0.269, 0.265)
O (0.731, 0.299, 0.735)
O (0.735, 0.735, 0.299)
O (0.735, 0.735, 0.731)

Entry 6:
Starting from DFT lattice parameters and positions (GGA+U), the powder diffractogram of CaMn2O4 was calculated for Cu Kα (weighted mean of Kα1 and Kα2).

Principal peaks in the range 10° ≤ 2θ ≤ 90°, by intensity:
2θ = 33.12°, I = 100; 2θ = 33.38°, I = 99; 2θ = 16.85°, I = 69; 2θ = 40.01°, I = 55; 2θ = 59.54°, I = 48; 2θ = 33.89°, I = 46; 2θ = 32.59°, I = 45; 2θ = 58.19°, I = 44; 2θ = 28.14°, I = 37; 2θ = 52.89°, I = 31

Cell and atoms:
Cell lengths 6.304, 6.347, 10.709 Å; angles 75.12, 89.99, 60.23 degrees
Element x y z (fractional)
Ca (0.000, 0.000, 0.000)
Ca (0.080, 0.840, 0.700)
Ca (0.500, 0.001, 0.500)
Ca (0.580, 0.840, 0.200)
Mn (0.000, 0.495, 0.502)
Mn (0.005, 0.494, 0.003)
Mn (0.249, 0.501, 0.249)
Mn (0.423, 0.153, 0.802)
Mn (0.501, 0.494, 0.003)
Mn (0.505, 0.495, 0.502)
Mn (0.750, 0.501, 0.749)
Mn (0.923, 0.155, 0.301)
O (0.076, 0.302, 0.871)
O (0.123, 0.304, 0.371)
O (0.126, 0.747, 0.354)
O (0.165, 0.671, 0.912)
O (0.341, 0.318, 0.599)
O (0.367, 0.266, 0.146)
O (0.370, 0.689, 0.129)
O (0.440, 0.690, 0.628)
O (0.573, 0.304, 0.371)
O (0.622, 0.302, 0.871)
O (0.627, 0.748, 0.855)
O (0.664, 0.671, 0.411)
O (0.841, 0.318, 0.098)
O (0.867, 0.266, 0.646)
O (0.870, 0.689, 0.628)
O (0.941, 0.689, 0.129)

- What is the formula in the first record?
  Ca3MnO4